# 1
Diffraction record for Ac5Sb. The powder XRD pattern is calculated, not measured: it uses a structure optimized by DFT (PBE) and λ = 1.5418 Å (Cu Kα).
No peak broadening, texture or thermal motion is included.

Top 6 peaks for 10 to 90 degrees two-theta, low angle first:
- (1 3 1), 28.5°, rel. 100
- (0 6 0), 31.8°, rel. 18
- (0 0 2), 33.5°, rel. 17
- (2 0 0), 33.7°, rel. 16
- (1 9 1), 54.6°, rel. 15
- (1 3 3), 56.9°, rel. 15

Structural model:
```
data_Ac5Sb
_chemical_formula_sum 'Ac10 Sb2'
_space_group_name_H-M_alt 'C m m m'
_space_group_IT_number 65
_space_group_name_Hall '-C 2 2'
_cell_length_a 5.320
_cell_length_b 16.894
_cell_length_c 5.348
_cell_angle_alpha 90.00
_cell_angle_beta 90.00
_cell_angle_gamma 90.00
loop_
_atom_site_label
_atom_site_type_symbol
_atom_site_fract_x
_atom_site_fract_y
_atom_site_fract_z
Ac1 Ac 0.000 0.000 0.000
Ac2 Ac 0.000 0.159 0.500
Ac3 Ac 0.000 0.340 0.000
Sb1 Sb 0.000 0.500 0.500
```

---

# 2
Diffraction record for Ac4SbSe3. The powder XRD pattern is calculated, not measured: it uses a structure optimized by DFT (PBE) and λ = 1.5418 Å (Cu Kα).
No peak broadening, texture or thermal motion is included.

Top 6 peaks for 10 to 90 degrees two-theta, low angle first:
- (0 2 1), 23.9°, rel. 32
- (2 0 1), 27.7°, rel. 100
- (0 0 2), 39.6°, rel. 78
- (0 4 2), 49.0°, rel. 28
- (2 0 3), 64.7°, rel. 18
- (2 8 1), 64.8°, rel. 18

Structural model:
```
data_Ac4SbSe3
_chemical_formula_sum 'Ac8 Sb2 Se6'
_space_group_name_H-M_alt 'C m m m'
_space_group_IT_number 65
_space_group_name_Hall '-C 2 2'
_cell_length_a 9.103
_cell_length_b 12.875
_cell_length_c 4.562
_cell_angle_alpha 90.00
_cell_angle_beta 90.00
_cell_angle_gamma 90.00
loop_
_atom_site_label
_atom_site_type_symbol
_atom_site_fract_x
_atom_site_fract_y
_atom_site_fract_z
Ac1 Ac 0.000 0.246 0.000
Ac2 Ac 0.240 0.000 0.500
Sb1 Sb 0.000 0.500 0.000
Se1 Se 0.000 0.000 0.000
Se2 Se 0.250 0.250 0.500
```

---

# 3
Diffraction record for Ac7SbSe5. The powder XRD pattern is calculated, not measured: it uses a structure optimized by DFT (PBE) and λ = 1.5418 Å (Cu Kα).
No peak broadening, texture or thermal motion is included.

Top 6 peaks for 10 to 90 degrees two-theta, low angle first:
- (2 0 7), 26.3°, rel. 100
- (3 1 -2), 27.8°, rel. 60
- (3 1 2), 27.8°, rel. 57
- (3 1 -3), 28.8°, rel. 69
- (0 2 0), 40.3°, rel. 43
- (2 2 7), 48.8°, rel. 39

Structural model:
```
data_Ac7SbSe5
_chemical_formula_sum 'Ac28 Sb4 Se20'
_space_group_name_H-M_alt 'C 1 m 1'
_space_group_IT_number 8
_cell_length_a 14.674
_cell_length_b 4.476
_cell_length_c 26.763
_cell_angle_alpha 90.00
_cell_angle_beta 90.02
_cell_angle_gamma 90.00
loop_
_space_group_symop_operation_xyz
'x,y,z'
'x,-y,z'
'x+1/2,y+1/2,z'
'x+1/2,-y+1/2,z'
loop_
_atom_site_label
_atom_site_type_symbol
_atom_site_fract_x
_atom_site_fract_y
_atom_site_fract_z
Ac1 Ac 0.000 0.000 0.000
Ac2 Ac 0.001 0.000 0.145
Ac3 Ac 0.123 0.500 0.645
Ac4 Ac 0.124 0.500 0.500
Ac5 Ac 0.174 0.000 0.786
Ac6 Ac 0.175 0.000 0.359
Ac7 Ac 0.218 0.500 0.936
Ac8 Ac 0.219 0.500 0.209
Ac9 Ac 0.290 0.000 0.072
Ac10 Ac 0.334 0.000 0.573
Ac11 Ac 0.405 0.500 0.709
Ac12 Ac 0.406 0.500 0.436
Ac13 Ac 0.449 0.000 0.859
Ac14 Ac 0.450 0.000 0.286
Sb1 Sb 0.005 0.000 0.572
Sb2 Sb 0.119 0.500 0.072
Se1 Se 0.037 0.500 0.752
Se2 Se 0.038 0.500 0.393
Se3 Se 0.086 0.000 0.893
Se4 Se 0.087 0.000 0.252
Se5 Se 0.263 0.000 0.681
Se6 Se 0.264 0.000 0.463
Se7 Se 0.311 0.500 0.822
Se8 Se 0.312 0.500 0.322
Se9 Se 0.360 0.000 0.963
Se10 Se 0.361 0.000 0.181
```

---

# 4
Diffraction record for Ac12Si6Sb. The powder XRD pattern is calculated, not measured: it uses a structure optimized by DFT (PBE) and λ = 1.5418 Å (Cu Kα).
No peak broadening, texture or thermal motion is included.

Top 6 peaks for 10 to 90 degrees two-theta, low angle first:
- (3 1 0), 25.8°, rel. 80
- (2 2 2), 28.3°, rel. 67
- (3 2 1), 30.6°, rel. 100
- (5 0 3), 48.6°, rel. 59
- (5 3 2), 51.6°, rel. 54
- (5 4 3), 59.9°, rel. 26

Structural model:
```
data_Ac12Si6Sb
_chemical_formula_sum 'Ac24 Si12 Sb2'
_space_group_name_H-M_alt 'I m -3'
_space_group_IT_number 204
_space_group_name_Hall '-I 2 2 3'
_cell_length_a 10.915
_cell_length_b 10.915
_cell_length_c 10.915
_cell_angle_alpha 90.00
_cell_angle_beta 90.00
_cell_angle_gamma 90.00
loop_
_atom_site_label
_atom_site_type_symbol
_atom_site_fract_x
_atom_site_fract_y
_atom_site_fract_z
Ac1 Ac 0.000 0.191 0.298
Si1 Si 0.000 0.391 0.500
Sb1 Sb 0.000 0.000 0.000
```

---

# 5
Diffraction record for AcSm2Sb2. The powder XRD pattern is calculated, not measured: it uses a structure optimized by DFT (PBE) and λ = 1.5418 Å (Cu Kα).
No peak broadening, texture or thermal motion is included.

Top 6 peaks for 10 to 90 degrees two-theta, low angle first:
- (1 1 3), 26.2°, rel. 79
- (0 2 2), 29.4°, rel. 100
- (2 0 2), 29.6°, rel. 99
- (1 1 5), 35.9°, rel. 74
- (2 2 0), 38.4°, rel. 85
- (2 2 8), 64.2°, rel. 50

Structural model:
```
data_AcSm2Sb2
_chemical_formula_sum 'Ac4 Sm8 Sb8'
_space_group_name_H-M_alt 'F m m m'
_space_group_IT_number 69
_space_group_name_Hall '-F 2 2'
_cell_length_a 6.613
_cell_length_b 6.655
_cell_length_c 14.773
_cell_angle_alpha 90.00
_cell_angle_beta 90.00
_cell_angle_gamma 90.00
loop_
_atom_site_label
_atom_site_type_symbol
_atom_site_fract_x
_atom_site_fract_y
_atom_site_fract_z
Ac1 Ac 0.000 0.000 0.000
Sm1 Sm 0.250 0.250 0.250
Sb1 Sb 0.000 0.000 0.395
```

---

# 6
Diffraction record for AcSmTlSb. The powder XRD pattern is calculated, not measured: it uses a structure optimized by DFT (PBE) and λ = 1.5418 Å (Cu Kα).
No peak broadening, texture or thermal motion is included.

Top 6 peaks for 10 to 90 degrees two-theta, low angle first:
- (1 1 1), 19.3°, rel. 5
- (2 2 0), 31.7°, rel. 100
- (4 0 0), 45.4°, rel. 19
- (4 2 2), 56.5°, rel. 40
- (4 4 0), 66.2°, rel. 12
- (6 2 0), 75.3°, rel. 17

Structural model:
```
data_AcSmTlSb
_chemical_formula_sum 'Ac4 Sm4 Tl4 Sb4'
_space_group_name_H-M_alt 'F -4 3 m'
_space_group_IT_number 216
_space_group_name_Hall 'F -4 2 3'
_cell_length_a 7.984
_cell_length_b 7.984
_cell_length_c 7.984
_cell_angle_alpha 90.00
_cell_angle_beta 90.00
_cell_angle_gamma 90.00
loop_
_atom_site_label
_atom_site_type_symbol
_atom_site_fract_x
_atom_site_fract_y
_atom_site_fract_z
Ac1 Ac 0.000 0.000 0.000
Sm1 Sm 0.000 0.000 0.500
Tl1 Tl 0.250 0.250 0.750
Sb1 Sb 0.250 0.250 0.250
```